This entry pairs a crystal structure of CsMnNbF6 with its calculated X-ray diffraction stick pattern. Radiation: Cu Ka. Structure: a DFT-relaxed cell (PBE+U, Alexandria).

The 10 most intense peaks (2θ from 5° to 70°), low angle first:
index	d [Å]	I/Imax
0 2 0	3.952	25
1 1 2	3.872	45
0 1 3	3.428	47
1 0 3	3.351	42
1 2 1	3.302	66
0 2 2	3.249	30
2 1 1	3.105	100
2 0 2	3.005	29
0 3 3	2.166	23
2 2 4	1.936	75

Structure:
a = 7.070 Å, b = 7.904 Å, c = 11.415 Å
α = 90.00°, β = 90.00°, γ = 90.00°
Space group Imma (No. 74)
One atom of each set of equivalent atoms:
1 Cs 0.000 0.250 0.130 x4
2 Mn 0.000 0.000 0.500 x4
3 Nb 0.250 0.250 0.750 x4
4 F 0.000 0.250 0.436 x4
5 F 0.000 0.250 0.859 x4
6 F 0.209 0.055 0.630 x16


This entry pairs a crystal structure of Cs2MnOF5 with its calculated X-ray diffraction stick pattern. Radiation: Cu Ka. Structure: a DFT-relaxed cell (PBE+U, Alexandria).

The 10 most intense peaks (2θ from 5° to 70°), low angle first:
index	d [Å]	I/Imax
1 1 1	5.256	56
2 2 0	3.244	80
0 2 2	3.229	83
2 0 2	3.183	79
2 2 2	2.628	100
0 4 0	2.328	31
4 0 0	2.261	30
0 0 4	2.241	29
2 4 2	1.879	29
4 2 2	1.852	29

Structure:
a = 9.045 Å, b = 9.313 Å, c = 8.962 Å
α = 90.00°, β = 90.00°, γ = 90.00°
Space group Fmm2 (No. 42)
One atom of each set of equivalent atoms:
1 Cs 0.250 0.250 0.000 x8
2 Mn 0.000 0.000 0.250 x4
3 O 0.000 0.000 0.453 x4
4 F 0.000 0.000 0.040 x4
5 F 0.000 0.200 0.246 x8
6 F 0.206 0.000 0.253 x8


This entry pairs a crystal structure of CsTiMnOF5 with its calculated X-ray diffraction stick pattern. Radiation: Cu Ka. Structure: a DFT-relaxed cell (PBE+U, Alexandria).

The 10 most intense peaks (2θ from 5° to 70°), low angle first:
index	d [Å]	I/Imax
1 2 1	3.784	53
1 3 0	3.236	100
1 1 2	3.218	88
0 2 2	3.077	15
1 3 2	2.451	17
3 3 0	2.069	28
0 3 3	2.053	22
2 4 2	1.892	44
3 2 3	1.692	18
3 3 4	1.392	17

Structure:
a = 7.621 Å, b = 10.701 Å, c = 7.522 Å
α = 90.00°, β = 90.00°, γ = 90.00°
Space group Ima2 (No. 46)
One atom of each set of equivalent atoms:
1 Cs 0.250 0.117 0.000 x4
2 Ti 0.250 0.746 0.264 x4
3 Mn 0.000 0.000 0.491 x4
4 O 0.250 0.718 0.490 x4
5 F 0.068 0.623 0.209 x8
6 F 0.069 0.624 0.773 x8
7 F 0.250 0.082 0.489 x4


This entry pairs a crystal structure of CsMnPdF6 with its calculated X-ray diffraction stick pattern. Radiation: Cu Ka. Structure: a DFT-relaxed cell (PBE+U, Alexandria).

The 10 most intense peaks (2θ from 5° to 70°), low angle first:
index	d [Å]	I/Imax
1 1 2	3.833	36
2 0 0	3.773	19
1 2 1	3.378	100
0 1 3	3.255	73
1 0 3	3.217	65
2 0 2	3.080	27
0 3 3	2.147	22
3 0 3	2.053	27
2 2 4	1.917	54
3 4 3	1.439	21

Structure:
a = 7.546 Å, b = 8.078 Å, c = 10.665 Å
α = 90.00°, β = 90.00°, γ = 90.00°
Space group Imma (No. 74)
One atom of each set of equivalent atoms:
1 Cs 0.000 0.250 0.121 x4
2 Mn 0.250 0.250 0.750 x4
3 Pd 0.000 0.000 0.500 x4
4 F 0.000 0.250 0.433 x4
5 F 0.000 0.250 0.825 x4
6 F 0.193 0.053 0.624 x16


This entry pairs a crystal structure of CsPmMnF6 with its calculated X-ray diffraction stick pattern. Radiation: Cu Ka. Structure: a DFT-relaxed cell (PBE+U, Alexandria).

The 10 most intense peaks (2θ from 5° to 70°), low angle first:
index	d [Å]	I/Imax
0 0 2	5.383	30
1 1 2	3.855	41
2 0 0	3.822	22
1 2 1	3.365	100
0 1 3	3.280	68
1 0 3	3.248	21
0 2 2	3.209	25
2 0 2	3.116	46
3 2 1	2.107	30
2 2 4	1.928	62

Structure:
a = 7.643 Å, b = 7.994 Å, c = 10.766 Å
α = 90.00°, β = 90.00°, γ = 90.00°
Space group Imma (No. 74)
One atom of each set of equivalent atoms:
1 Cs 0.000 0.250 0.097 x4
2 Pm 0.000 0.000 0.500 x4
3 Mn 0.250 0.250 0.750 x4
4 F 0.000 0.250 0.393 x4
5 F 0.000 0.250 0.656 x4
6 F 0.243 0.054 0.884 x16


This entry pairs a crystal structure of Cs3RbMn2F9 with its calculated X-ray diffraction stick pattern. Radiation: Cu Ka. Structure: a DFT-relaxed cell (PBE+U, Alexandria).

The 10 most intense peaks (2θ from 5° to 70°), low angle first:
index	d [Å]	I/Imax
0 1 2	3.269	100
1 1 0	3.190	91
0 2 1	2.615	25
2 0 2	2.283	68
1 0 4	1.904	20
1 2 2	1.856	36
3 0 0	1.842	18
0 2 4	1.635	19
2 2 0	1.595	21
2 1 4	1.455	20

Structure:
a = 6.3792 Å, b = 6.3792 Å, c = 8.1115 Å
α = 90.00°, β = 90.00°, γ = 120.00°
Space group P-3m1 (No. 164)
One atom of each set of equivalent atoms:
1 Cs 0.0000 0.0000 0.0000 x1
2 Cs 0.3333 0.6667 0.6650 x2
3 Rb 0.0000 0.0000 0.5000 x1
4 Mn 0.3333 0.6667 0.1433 x2
5 F 0.0000 0.5000 0.0000 x3
6 F 0.1856 0.3711 0.2870 x6


This entry pairs a crystal structure of CsRbMnF6 with its calculated X-ray diffraction stick pattern. Radiation: Cu Ka. Structure: a DFT-relaxed cell (PBE+U, Alexandria).

The 10 most intense peaks (2θ from 5° to 70°), low angle first:
index	d [Å]	I/Imax
1 1 1	5.157	38
2 0 0	4.466	25
2 2 0	3.158	100
2 2 2	2.579	44
4 0 0	2.233	43
4 2 0	1.997	17
4 2 2	1.823	34
4 4 0	1.579	24
6 2 0	1.412	22
6 2 2	1.347	12

Structure:
a = 8.933 Å, b = 8.933 Å, c = 8.933 Å
α = 90.00°, β = 90.00°, γ = 90.00°
Space group F-43m (No. 216)
One atom of each set of equivalent atoms:
1 Cs 0.000 0.000 0.000 x4
2 Rb 0.000 0.000 0.500 x4
3 Mn 0.250 0.250 0.750 x4
4 F 0.043 0.250 0.750 x24


This entry pairs a crystal structure of Cs2MnSiF6 with its calculated X-ray diffraction stick pattern. Radiation: Cu Ka. Structure: a DFT-relaxed cell (PBE+U, Alexandria).

The 10 most intense peaks (2θ from 5° to 70°), low angle first:
index	d [Å]	I/Imax
1 1 0	4.430	14
2 0 0	3.138	100
2 0 2	2.562	35
0 0 4	2.226	14
2 2 0	2.215	28
2 0 4	1.815	14
3 1 2	1.810	27
2 2 4	1.570	18
4 0 0	1.566	9
4 2 0	1.401	12

Structure:
a = 6.265 Å, b = 6.265 Å, c = 8.906 Å
α = 90.00°, β = 90.00°, γ = 90.00°
Space group I4/mmm (No. 139)
One atom of each set of equivalent atoms:
1 Cs 0.000 0.500 0.250 x4
2 Mn 0.000 0.000 0.000 x2
3 Si 0.000 0.000 0.500 x2
4 F 0.000 0.000 0.245 x4
5 F 0.248 0.248 0.000 x8


Please write out number 5 again, unchanged.
This entry pairs a crystal structure of CsPmMnF6 with its calculated X-ray diffraction stick pattern. Radiation: Cu Ka. Structure: a DFT-relaxed cell (PBE+U, Alexandria).

The 10 most intense peaks (2θ from 5° to 70°), low angle first:
index	d [Å]	I/Imax
0 0 2	5.383	30
1 1 2	3.855	41
2 0 0	3.822	22
1 2 1	3.365	100
0 1 3	3.280	68
1 0 3	3.248	21
0 2 2	3.209	25
2 0 2	3.116	46
3 2 1	2.107	30
2 2 4	1.928	62

Structure:
a = 7.643 Å, b = 7.994 Å, c = 10.766 Å
α = 90.00°, β = 90.00°, γ = 90.00°
Space group Imma (No. 74)
One atom of each set of equivalent atoms:
1 Cs 0.000 0.250 0.097 x4
2 Pm 0.000 0.000 0.500 x4
3 Mn 0.250 0.250 0.750 x4
4 F 0.000 0.250 0.393 x4
5 F 0.000 0.250 0.656 x4
6 F 0.243 0.054 0.884 x16